Simulated PXRD pattern
Compound: NbPbNO
Radiation: copper Kα
Structure: a crystal structure in OQMD, relaxed with PBE

Structure:
a b c (Å): 3.4608 7.3438 5.8299
angles (deg): 90.00 90.00 90.00
Space group Pmc2_1 (No. 26)
Unique sites:
Nb (0.0000, 0.1767, 0.0000) [2 per cell]
Pb (0.5000, 0.3602, 0.4871) [2 per cell]
N (0.5000, 0.3064, 0.9766) [2 per cell]
O (0.0000, 0.0031, 0.2535) [2 per cell]

Largest 10 diffraction maxima, low angle first, 2θ from 5° to 70°:
2theta  I/Imax
12.1  24
28.5  51
28.7  93
30.7  48
32.5  100
42.4  24
45.4  27
55.7  22
55.8  36
61.3  23